For SrBeCoO4, DFT lattice parameters and positions (PBE+U) gives the simulated powder XRD pattern in this record (CuKα).

Crystal structure
Unit cell a=5.3588 b=5.3588 c=6.3339 alpha=90.00 beta=90.00 gamma=90.00
Fractional positions:
Sr 0.0000 0.0000 0.0000
Sr 0.5000 0.5000 0.5000
Be 0.0000 0.0000 0.5000
Be 0.5000 0.5000 0.0000
Co 0.0000 0.5000 0.2500
Co 0.5000 0.0000 0.7500
O 0.1334 0.7817 0.3506
O 0.2183 0.1334 0.6494
O 0.2817 0.3666 0.1494
O 0.3666 0.7183 0.8506
O 0.6334 0.2817 0.8506
O 0.7183 0.6334 0.1494
O 0.7817 0.8666 0.6494
O 0.8666 0.2183 0.3506

Most intense lines, 10° ≤ 2θ ≤ 80°, low angle first:
Position (°2θ), I (rel.)
21.7, 100
33.4, 25
37.0, 66
40.2, 50
46.2, 20
48.0, 16
58.2, 14
62.1, 28
68.9, 15
78.8, 14